This entry pairs a crystal structure of TlB6N6 with its simulated X-ray powder pattern. Radiation: Cu Kα, 1.54184 Å. Structure: a structure optimized by DFT (GGA-PBE).
No peak broadening, texture or thermal motion is included.

Peak list (10 most intense, 2θ from 5° to 70°, in order of rising 2θ)
18.94 deg, intensity 1000, hkl 1 0 0; 26.91 deg, intensity 507, hkl 1 1 0; 33.12 deg, intensity 362, hkl 1 1 1; 38.43 deg, intensity 255, hkl 2 0 0; 43.18 deg, intensity 504, hkl 2 0 1; 47.54 deg, intensity 542, hkl 2 1 1; 55.47 deg, intensity 84, hkl 2 2 0; 59.16 deg, intensity 253, hkl 3 0 0; 62.71 deg, intensity 119, hkl 3 1 0; 66.15 deg, intensity 144, hkl 3 1 1

Atomic structure:
```
TlB6N6
1.0
4.6852 0.0000 0.0000
0.0000 4.6852 0.0000
0.0000 0.0000 4.6852
Tl B N
1 6 6
direct
0.0000 0.0000 0.0000 Tl
0.0000 0.2547 0.5000 B
0.0000 0.7453 0.5000 B
0.2547 0.5000 0.0000 B
0.5000 0.0000 0.2547 B
0.5000 0.0000 0.7453 B
0.7453 0.5000 0.0000 B
0.0000 0.5000 0.2559 N
0.0000 0.5000 0.7441 N
0.2559 0.0000 0.5000 N
0.5000 0.2559 0.0000 N
0.5000 0.7441 0.0000 N
0.7441 0.0000 0.5000 N
```

=====

This entry pairs a crystal structure of TmB6N6 with its simulated X-ray powder pattern. Radiation: Cu Kα, 1.54184 Å. Structure: a structure optimized by DFT (GGA-PBE).
No peak broadening, texture or thermal motion is included.

Peak list (10 most intense, 2θ from 5° to 70°, in order of rising 2θ)
19.15 deg, intensity 1000, hkl 1 0 0; 27.22 deg, intensity 429, hkl 1 1 0; 33.50 deg, intensity 311, hkl 1 1 1; 38.87 deg, intensity 255, hkl 2 0 0; 43.68 deg, intensity 488, hkl 2 0 1; 48.10 deg, intensity 535, hkl 2 1 1; 56.14 deg, intensity 72, hkl 2 2 0; 59.88 deg, intensity 235, hkl 2 2 1; 63.49 deg, intensity 102, hkl 3 1 0; 66.98 deg, intensity 136, hkl 3 1 1

Atomic structure:
```
TmB6N6
1.0
4.6338 0.0000 0.0000
0.0000 4.6338 0.0000
0.0000 0.0000 4.6338
Tm B N
1 6 6
direct
0.0000 0.0000 0.0000 Tm
0.0000 0.2377 0.5000 B
0.0000 0.7623 0.5000 B
0.2377 0.5000 0.0000 B
0.5000 0.0000 0.2377 B
0.5000 0.0000 0.7623 B
0.7623 0.5000 0.0000 B
0.0000 0.5000 0.2492 N
0.0000 0.5000 0.7508 N
0.2492 0.0000 0.5000 N
0.5000 0.2492 0.0000 N
0.5000 0.7508 0.0000 N
0.7508 0.0000 0.5000 N
```

=====

This entry pairs a crystal structure of B6WN6 with its simulated X-ray powder pattern. Radiation: Cu Kα, 1.54184 Å. Structure: a structure optimized by DFT (GGA-PBE).
No peak broadening, texture or thermal motion is included.

Peak list (10 most intense, 2θ from 5° to 70°, in order of rising 2θ)
19.29 deg, intensity 1000, hkl 1 0 0; 27.42 deg, intensity 460, hkl 1 1 0; 33.74 deg, intensity 323, hkl 1 1 1; 39.16 deg, intensity 251, hkl 2 0 0; 44.01 deg, intensity 490, hkl 2 0 1; 48.47 deg, intensity 528, hkl 2 1 1; 56.58 deg, intensity 76, hkl 2 2 0; 60.36 deg, intensity 238, hkl 2 2 1; 64.00 deg, intensity 108, hkl 3 1 0; 67.53 deg, intensity 137, hkl 3 1 1

Atomic structure:
```
B6WN6
1.0
4.6006 0.0000 0.0000
0.0000 4.6006 0.0000
0.0000 0.0000 4.6006
B W N
6 1 6
direct
0.0000 0.2382 0.5000 B
0.0000 0.7618 0.5000 B
0.2382 0.5000 0.0000 B
0.5000 0.0000 0.2382 B
0.5000 0.0000 0.7618 B
0.7618 0.5000 0.0000 B
0.0000 0.0000 0.0000 W
0.0000 0.5000 0.2527 N
0.0000 0.5000 0.7473 N
0.2527 0.0000 0.5000 N
0.5000 0.2527 0.0000 N
0.5000 0.7473 0.0000 N
0.7473 0.0000 0.5000 N
```

=====

This entry pairs a crystal structure of ZrB6N6 with its simulated X-ray powder pattern. Radiation: Cu Kα, 1.54184 Å. Structure: a structure optimized by DFT (GGA-PBE).
No peak broadening, texture or thermal motion is included.

Peak list (10 most intense, 2θ from 5° to 70°, in order of rising 2θ)
19.19 deg, intensity 1000, hkl 1 0 0; 27.26 deg, intensity 197, hkl 1 1 0; 33.55 deg, intensity 285, hkl 1 1 1; 38.94 deg, intensity 319, hkl 2 0 0; 43.76 deg, intensity 465, hkl 2 0 1; 48.18 deg, intensity 642, hkl 2 1 1; 56.24 deg, intensity 39, hkl 2 2 0; 59.99 deg, intensity 208, hkl 2 2 1; 63.60 deg, intensity 56, hkl 3 1 0; 67.10 deg, intensity 119, hkl 3 1 1

Atomic structure:
```
ZrB6N6
1.0
4.6261 0.0000 0.0000
0.0000 4.6261 0.0000
0.0000 0.0000 4.6261
Zr B N
1 6 6
direct
0.0000 0.0000 0.0000 Zr
0.0000 0.2376 0.5000 B
0.0000 0.7624 0.5000 B
0.2376 0.5000 0.0000 B
0.5000 0.0000 0.2376 B
0.5000 0.0000 0.7624 B
0.7624 0.5000 0.0000 B
0.0000 0.5000 0.2505 N
0.0000 0.5000 0.7495 N
0.2505 0.0000 0.5000 N
0.5000 0.2505 0.0000 N
0.5000 0.7495 0.0000 N
0.7495 0.0000 0.5000 N
```

=====

This entry pairs a crystal structure of NaB with its simulated X-ray powder pattern. Radiation: Cu Kα, 1.54184 Å. Structure: a structure optimized by DFT (GGA-PBE).
No peak broadening, texture or thermal motion is included.

Peak list (10 most intense, 2θ from 5° to 70°, in order of rising 2θ)
17.44 deg, intensity 445, hkl 1 1 0; 24.77 deg, intensity 420, hkl 2 0 0; 33.34 deg, intensity 1000, hkl 1 1 1; 35.31 deg, intensity 742, hkl 2 2 0; 39.64 deg, intensity 62, hkl 3 1 0; 49.35 deg, intensity 602, hkl 3 1 1; 50.80 deg, intensity 226, hkl 4 0 0; 57.31 deg, intensity 90, hkl 4 2 0; 62.13 deg, intensity 136, hkl 3 3 1; 64.29 deg, intensity 205, hkl 2 0 2

Atomic structure:
```
NaB
1.0
7.1895 0.0000 0.0000
0.0000 7.1895 0.0000
0.0000 0.0000 3.1663
Na B
4 4
direct
0.2423 0.2423 0.0000 Na
0.2577 0.7423 0.5000 Na
0.7423 0.2577 0.5000 Na
0.7577 0.7577 0.0000 Na
0.0000 0.5000 0.2361 B
0.0000 0.5000 0.7361 B
0.5000 0.0000 0.2639 B
0.5000 0.0000 0.7639 B
```

=====

This entry pairs a crystal structure of NaNi2B2 with its simulated X-ray powder pattern. Radiation: Cu Kα, 1.54184 Å. Structure: a structure optimized by DFT (GGA-PBE).
No peak broadening, texture or thermal motion is included.

Peak list (10 most intense, 2θ from 5° to 70°, in order of rising 2θ)
17.06 deg, intensity 1000, hkl 0 0 2; 32.61 deg, intensity 485, hkl 1 1 0; 34.51 deg, intensity 300, hkl 0 0 4; 34.70 deg, intensity 111, hkl 1 0 3; 37.03 deg, intensity 282, hkl 1 1 2; 46.79 deg, intensity 253, hkl 2 0 0; 48.22 deg, intensity 297, hkl 1 1 4; 50.16 deg, intensity 201, hkl 2 0 2; 59.42 deg, intensity 219, hkl 2 0 4; 68.32 deg, intensity 73, hkl 2 2 0

Atomic structure:
```
NaNi2B2
1.0
3.8831 0.0000 0.0000
0.0000 3.8831 0.0000
0.0000 0.0000 10.3949
Na Ni B
2 4 4
direct
0.0000 0.0000 0.0000 Na
0.5000 0.5000 0.5000 Na
0.0000 0.0000 0.2608 Ni
0.0000 0.0000 0.7392 Ni
0.5000 0.5000 0.2392 Ni
0.5000 0.5000 0.7608 Ni
0.0000 0.5000 0.2500 B
0.0000 0.5000 0.7500 B
0.5000 0.0000 0.2500 B
0.5000 0.0000 0.7500 B
```